NaCrBrO: computed X-ray diffraction stick pattern (CuKα), based on a PBE+U-relaxed structure.
Peak positions follow from Bragg's law for the DFT cell and can differ from measured ones.

Largest 10 diffraction maxima, low angle first, 2θ = 10–90°:
Position (°2θ)  d_spacing  intensity
23.4  3.804  420
24.8  3.590  317
28.6  3.126  487
34.0  2.635  1000
34.3  2.611  585
40.6  2.225  193
41.7  2.166  449
47.9  1.901  415
53.9  1.700  196
60.0  1.542  344

Crystal structure
```
NaCrBrO
1.0
3.804 0.000 0.000
0.000 1.900 5.485
0.000 -1.900 5.485
Na Cr Br O
1 1 1 1
direct
0.000 0.000 0.000
0.500 0.318 0.318
0.500 0.640 0.640
0.000 0.365 0.365
```


NaCrBrO: computed X-ray diffraction stick pattern (CuKα), based on a PBE+U-relaxed structure.
Peak positions follow from Bragg's law for the DFT cell and can differ from measured ones.

Largest 10 diffraction maxima, low angle first, 2θ = 10–90°:
Position (°2θ)  d_spacing  intensity
13.6  6.494  406
21.5  4.131  666
24.1  3.695  1000
30.9  2.894  407
35.3  2.546  258
37.3  2.414  242
39.0  2.312  483
39.3  2.291  650
43.5  2.081  206
44.4  2.041  223

Crystal structure
```
NaCrBrO
1.0
4.162 0.000 0.000
0.000 3.233 0.000
-0.797 0.000 6.494
Na Cr Br O
1 1 1 1
direct
0.000 0.000 0.000
0.719 0.000 0.579
0.536 0.500 0.264
0.838 0.500 0.752
```